Starting from a DFT-relaxed cell (GGA+U, the Materials Project), the powder XRD pattern of V2NiO6 was calculated for Cu Kα (λ = 1.5418 Å).

Structure:
abc: 6.780 6.780 5.857
angles: 105.43 105.43 84.07
Positions (direct):
V 0.112 0.295 0.244
V 0.295 0.112 0.744
V 0.705 0.888 0.256
V 0.888 0.705 0.756
Ni 0.416 0.584 0.750
Ni 0.584 0.416 0.250
O 0.120 0.588 0.775
O 0.129 0.148 0.945
O 0.148 0.129 0.445
O 0.307 0.465 0.363
O 0.412 0.880 0.725
O 0.465 0.307 0.863
O 0.535 0.693 0.137
O 0.588 0.120 0.275
O 0.693 0.535 0.637
O 0.852 0.871 0.555
O 0.871 0.852 0.055
O 0.880 0.412 0.225

Top 6 peaks for 2θ from 15° to 90°, in order of rising 2θ:
| Position (°2θ) | intensity |
| --- | --- |
| 18.4 | 44 |
| 19.6 | 47 |
| 28.1 | 100 |
| 30.2 | 62 |
| 32.8 | 45 |
| 35.3 | 26 |